# 1
# PmCd6Hg4
Computed powder diffractogram, Cu Ka. Input: a crystal structure in Alexandria, relaxed with PBE.
Peak positions follow from Bragg's law for the DFT cell and can differ from measured ones.

```
data_PmCd6Hg4
_cell_length_a 9.5739
_cell_length_b 9.5739
_cell_length_c 3.4385
_cell_angle_alpha 90.00
_cell_angle_beta 90.00
_cell_angle_gamma 120.00
_space_group_name_H-M_alt 'P -6'
_space_group_IT_number 174
_space_group_name_Hall 'P -6'
loop_
_atom_site_label
_atom_site_type_symbol
_atom_site_fract_x
_atom_site_fract_y
_atom_site_fract_z
Pm1 Pm 0.0000 0.0000 0.0000
Cd1 Cd 0.1096 0.5263 0.0000
Cd2 Cd 0.3763 0.1347 0.5000
Hg1 Hg 0.1080 0.7801 0.5000
Hg2 Hg 0.6667 0.3333 0.0000
```

Principal peaks in the range 2θ = 10–90°, in order of rising 2θ:
2θ/deg, I_rel
21.43, 34
28.48, 49
32.05, 92
33.87, 63
37.58, 44
38.88, 100
39.17, 58
47.57, 34
64.37, 28
68.69, 32


# 2
# Pm4Cd3Hg5
Computed powder diffractogram, Cu Ka. Input: a crystal structure in Alexandria, relaxed with PBE.
Peak positions follow from Bragg's law for the DFT cell and can differ from measured ones.

```
data_Pm4Cd3Hg5
_cell_length_a 12.955
_cell_length_b 6.129
_cell_length_c 8.687
_cell_angle_alpha 90.00
_cell_angle_beta 95.90
_cell_angle_gamma 90.00
_space_group_name_H-M_alt 'C 1 2/m 1'
_space_group_IT_number 12
_space_group_name_Hall '-C 2y'
loop_
_atom_site_label
_atom_site_type_symbol
_atom_site_fract_x
_atom_site_fract_y
_atom_site_fract_z
Pm1 Pm 0.089 0.000 0.158
Pm2 Pm 0.114 0.500 0.889
Cd1 Cd 0.000 0.500 0.500
Cd2 Cd 0.163 0.000 0.798
Hg1 Hg 0.000 0.000 0.500
Hg2 Hg 0.122 0.500 0.244
Hg3 Hg 0.234 0.500 0.571
```

Principal peaks in the range 2θ = 10–90°, in order of rising 2θ:
2θ/deg, I_rel
29.14, 100
30.60, 48
31.04, 28
31.41, 36
32.93, 28
35.77, 49
42.76, 39
43.10, 21
44.54, 24
57.37, 20


# 3
# Pm7Cd2Hg2
Computed powder diffractogram, Cu Ka. Input: a crystal structure in Alexandria, relaxed with PBE.
Peak positions follow from Bragg's law for the DFT cell and can differ from measured ones.

```
data_Pm7Cd2Hg2
_cell_length_a 7.829
_cell_length_b 11.222
_cell_length_c 8.172
_cell_angle_alpha 90.00
_cell_angle_beta 90.00
_cell_angle_gamma 90.00
_space_group_name_H-M_alt 'C m m m'
_space_group_IT_number 65
_space_group_name_Hall '-C 2 2'
loop_
_atom_site_label
_atom_site_type_symbol
_atom_site_fract_x
_atom_site_fract_y
_atom_site_fract_z
Pm1 Pm 0.000 0.000 0.000
Pm2 Pm 0.000 0.500 0.263
Pm3 Pm 0.250 0.250 0.288
Cd1 Cd 0.175 0.000 0.500
Hg1 Hg 0.000 0.290 0.000
```

Principal peaks in the range 2θ = 10–90°, in order of rising 2θ:
2θ/deg, I_rel
25.23, 58
25.85, 34
27.79, 21
31.65, 21
31.90, 55
34.47, 54
35.56, 100
36.67, 19
44.34, 20
46.41, 23


# 4
# PmSmCdHg
Computed powder diffractogram, Cu Ka. Input: a crystal structure in Alexandria, relaxed with PBE.
Peak positions follow from Bragg's law for the DFT cell and can differ from measured ones.

```
data_PmSmCdHg
_cell_length_a 3.814
_cell_length_b 3.814
_cell_length_c 7.615
_cell_angle_alpha 90.00
_cell_angle_beta 90.00
_cell_angle_gamma 90.00
_space_group_name_H-M_alt 'P 4 m m'
_space_group_IT_number 99
_space_group_name_Hall 'P 4 -2'
loop_
_atom_site_label
_atom_site_type_symbol
_atom_site_fract_x
_atom_site_fract_y
_atom_site_fract_z
Pm1 Pm 0.000 0.000 0.000
Sm1 Sm 0.000 0.000 0.504
Cd1 Cd 0.500 0.500 0.254
Hg1 Hg 0.500 0.500 0.749
```

Principal peaks in the range 2θ = 10–90°, in order of rising 2θ:
2θ/deg, I_rel
11.62, 4
26.13, 2
33.24, 100
35.31, 1
47.71, 18
59.39, 38
69.78, 12
79.46, 11
79.61, 5
88.94, 4


- Which formula does entry 1 have?
  PmCd6Hg4


- Which formula does entry 1 have?
  PmCd6Hg4